Entry 1:
# TiVP2O8
Calculated powder diffraction line list, Cu Kα (λ = 1.5418 Å). Input: a crystal structure in Alexandria, relaxed with PBE+U.
Lines closer than 0.1° are merged.

Main lines, by angle (2θ = 5–70°):
20.50 deg, rel. 57; 24.15 deg, rel. 100; 25.20 deg, rel. 14; 31.83 deg, rel. 15; 32.87 deg, rel. 56; 35.90 deg, rel. 29; 47.14 deg, rel. 24; 49.46 deg, rel. 21; 56.17 deg, rel. 19; 62.61 deg, rel. 14

Atomic structure:
abc: 8.611 8.611 8.611
angles: 60.42 60.42 60.42
Fractional coordinates of all 36 atoms:
Ti 0.000 0.000 0.000
Ti 0.210 0.210 0.210
Ti 0.501 0.501 0.501
V 0.355 0.355 0.355
V 0.714 0.714 0.714
V 0.856 0.856 0.856
P 0.108 0.811 0.398
P 0.313 0.606 0.900
P 0.398 0.108 0.811
P 0.606 0.900 0.313
P 0.811 0.398 0.108
P 0.900 0.313 0.606
O 0.041 0.856 0.240
O 0.095 0.289 0.444
O 0.118 0.769 0.912
O 0.179 0.969 0.347
O 0.240 0.041 0.856
O 0.270 0.617 0.410
O 0.289 0.444 0.095
O 0.347 0.179 0.969
O 0.357 0.543 0.738
O 0.410 0.270 0.617
O 0.444 0.095 0.289
O 0.470 0.664 0.866
O 0.543 0.738 0.357
O 0.592 0.950 0.802
O 0.617 0.410 0.270
O 0.664 0.866 0.470
O 0.738 0.357 0.543
O 0.769 0.912 0.118
O 0.802 0.592 0.950
O 0.856 0.240 0.041
O 0.866 0.470 0.664
O 0.912 0.118 0.769
O 0.950 0.802 0.592
O 0.969 0.347 0.179


Entry 2:
# TiV5P6O24
Calculated powder diffraction line list, Cu Kα (λ = 1.5418 Å). Input: a crystal structure in Alexandria, relaxed with PBE+U.
Lines closer than 0.1° are merged.

Main lines, by angle (2θ = 5–70°):
20.58 deg, rel. 68; 24.21 deg, rel. 100; 25.28 deg, rel. 14; 31.94 deg, rel. 16; 32.93 deg, rel. 56; 36.03 deg, rel. 30; 47.23 deg, rel. 25; 49.59 deg, rel. 23; 56.38 deg, rel. 20; 62.81 deg, rel. 15

Atomic structure:
abc: 8.598 8.598 8.598
angles: 60.29 60.29 60.29
Fractional coordinates of all 36 atoms:
Ti 0.000 0.000 0.000
V 0.212 0.212 0.212
V 0.354 0.354 0.354
V 0.498 0.498 0.498
V 0.711 0.711 0.711
V 0.856 0.856 0.856
P 0.105 0.399 0.812
P 0.312 0.897 0.605
P 0.399 0.812 0.105
P 0.605 0.312 0.897
P 0.812 0.105 0.399
P 0.897 0.605 0.312
O 0.038 0.238 0.861
O 0.095 0.444 0.295
O 0.115 0.917 0.768
O 0.170 0.360 0.968
O 0.238 0.861 0.038
O 0.266 0.409 0.616
O 0.295 0.095 0.444
O 0.347 0.740 0.544
O 0.360 0.968 0.170
O 0.409 0.616 0.266
O 0.444 0.295 0.095
O 0.469 0.858 0.669
O 0.544 0.347 0.740
O 0.594 0.795 0.943
O 0.616 0.266 0.409
O 0.669 0.469 0.858
O 0.740 0.544 0.347
O 0.768 0.115 0.917
O 0.795 0.943 0.594
O 0.858 0.669 0.469
O 0.861 0.038 0.238
O 0.917 0.768 0.115
O 0.943 0.594 0.795
O 0.968 0.170 0.360


Entry 3:
# Ti5VP6O24
Calculated powder diffraction line list, Cu Kα (λ = 1.5418 Å). Input: a crystal structure in Alexandria, relaxed with PBE+U.
Lines closer than 0.1° are merged.

Main lines, by angle (2θ = 5–70°):
20.22 deg, rel. 55; 24.25 deg, rel. 100; 25.04 deg, rel. 18; 31.44 deg, rel. 17; 33.69 deg, rel. 42; 35.40 deg, rel. 27; 48.15 deg, rel. 29; 49.67 deg, rel. 15; 55.35 deg, rel. 20; 57.05 deg, rel. 15

Atomic structure:
abc: 8.393 8.393 8.393
angles: 63.10 63.10 63.10
Fractional coordinates of all 36 atoms:
Ti 0.000 0.000 0.000
Ti 0.138 0.138 0.138
Ti 0.501 0.501 0.501
Ti 0.640 0.640 0.640
Ti 0.778 0.778 0.778
V 0.276 0.276 0.276
P 0.099 0.679 0.389
P 0.179 0.599 0.889
P 0.389 0.099 0.679
P 0.599 0.889 0.179
P 0.679 0.389 0.099
P 0.889 0.179 0.599
O 0.026 0.650 0.806
O 0.034 0.188 0.399
O 0.084 0.881 0.237
O 0.131 0.529 0.318
O 0.137 0.752 0.966
O 0.188 0.399 0.034
O 0.237 0.084 0.881
O 0.255 0.638 0.462
O 0.318 0.131 0.529
O 0.379 0.587 0.737
O 0.399 0.034 0.188
O 0.462 0.255 0.638
O 0.529 0.318 0.131
O 0.542 0.897 0.701
O 0.587 0.737 0.379
O 0.638 0.462 0.255
O 0.650 0.806 0.026
O 0.701 0.542 0.897
O 0.737 0.379 0.587
O 0.752 0.966 0.137
O 0.806 0.026 0.650
O 0.881 0.237 0.084
O 0.897 0.701 0.542
O 0.966 0.137 0.752


Entry 4:
# TiVZnP3O12
Calculated powder diffraction line list, Cu Kα (λ = 1.5418 Å). Input: a crystal structure in Alexandria, relaxed with PBE+U.
Lines closer than 0.1° are merged.

Main lines, by angle (2θ = 5–70°):
20.55 deg, rel. 81; 24.25 deg, rel. 100; 25.28 deg, rel. 23; 33.07 deg, rel. 72; 36.00 deg, rel. 36; 47.42 deg, rel. 33; 49.68 deg, rel. 27; 56.33 deg, rel. 23; 56.68 deg, rel. 16; 62.87 deg, rel. 20

Atomic structure:
abc: 8.558 8.558 8.558
angles: 60.65 60.65 60.65
Fractional coordinates of all 36 atoms:
Ti 0.000 0.000 0.000
Ti 0.500 0.500 0.500
V 0.287 0.287 0.287
V 0.787 0.787 0.787
Zn 0.146 0.146 0.146
Zn 0.646 0.646 0.646
P 0.101 0.392 0.690
P 0.190 0.892 0.601
P 0.392 0.690 0.101
P 0.601 0.190 0.892
P 0.690 0.101 0.392
P 0.892 0.601 0.190
O 0.036 0.824 0.642
O 0.052 0.405 0.208
O 0.091 0.230 0.887
O 0.142 0.324 0.536
O 0.142 0.958 0.765
O 0.208 0.052 0.405
O 0.230 0.887 0.091
O 0.265 0.458 0.642
O 0.324 0.536 0.142
O 0.387 0.730 0.591
O 0.405 0.208 0.052
O 0.458 0.642 0.265
O 0.536 0.142 0.324
O 0.552 0.708 0.905
O 0.591 0.387 0.730
O 0.642 0.036 0.824
O 0.642 0.265 0.458
O 0.708 0.905 0.552
O 0.730 0.591 0.387
O 0.765 0.142 0.958
O 0.824 0.642 0.036
O 0.887 0.091 0.230
O 0.905 0.552 0.708
O 0.958 0.765 0.142


> Which formula does entry 1 have?

TiVP2O8